This entry pairs a crystal structure of K4NbO4 with its computed PXRD pattern. Radiation: Cu Kα (weighted mean of Kα1 and Kα2). Structure: a structure optimized by DFT (PBE).
Intensities are scaled so that the largest is 1000.

Principal peaks in the range 2θ from 10° to 90°, sorted by position:
2θ (°)	intensity	(hkl)
15.42	342	1 0 1
16.88	355	0 1 1
17.71	222	0 1 -1
28.43	355	1 0 3
29.12	1000	1 1 -2
29.26	471	2 0 1
32.60	524	2 2 1
33.24	502	-1 1 2
35.09	395	1 -1 3
47.64	238	3 1 -1

Unit cell a=6.599 b=6.637 c=9.875 alpha=80.35 beta=71.36 gamma=67.75
Space group P-1 (No. 2)
Symmetry-distinct sites (fractional):
K 0.022 0.263 0.437 x2
K 0.099 0.748 0.167 x2
K 0.274 0.238 0.026 x2
K 0.460 0.223 0.622 x2
Nb 0.347 0.723 0.753 x2
O 0.163 0.545 0.802 x2
O 0.223 0.947 0.625 x2
O 0.330 0.865 0.908 x2
O 0.355 0.449 0.350 x2